[1]
Ac8Tb3Dy2: computed powder diffractogram (CuKα), based on a structure optimized by DFT (PBE).
Kinematic intensities with the Lorentz-polarization factor, no thermal factor.

Peak list (8 most intense, 10° ≤ 2θ ≤ 90°, low angle first)
hkl  2θ/deg  I_rel
0 2 1  28.53  100
1 0 3  28.71  33
1 -2 2  33.03  23
2 1 0  33.16  45
1 3 -2  47.36  17
3 -1 2  47.56  17
1 2 4  47.68  17
2 3 1  56.37  30

Atomic structure:
```
data_Ac8Tb3Dy2
_chemical_formula_sum 'Ac8 Tb3 Dy2'
_cell_length_a 6.6295
_cell_length_b 6.6564
_cell_length_c 12.0487
_cell_angle_alpha 90.08
_cell_angle_beta 100.67
_cell_angle_gamma 99.73
_space_group_name_H-M_alt 'P -1'
_space_group_IT_number 2
loop_
_space_group_symop_operation_xyz
'x,y,z'
'-x,-y,-z'
loop_
_atom_site_label
_atom_site_type_symbol
_atom_site_fract_x
_atom_site_fract_y
_atom_site_fract_z
Ac1 Ac 0.0434 0.4162 0.1504
Ac2 Ac 0.1966 0.1164 0.7753
Ac3 Ac 0.3393 0.8068 0.3844
Ac4 Ac 0.4189 0.6538 0.6923
Tb1 Tb 0.2746 0.9616 0.0733
Tb2 Tb 0.5000 0.5000 0.0000
Dy1 Dy 0.1118 0.2664 0.4631
```


[2]
Cu2AgPSe4: computed powder diffractogram (CuKα), based on a structure optimized by DFT (PBE).
Kinematic intensities with the Lorentz-polarization factor, no thermal factor.

Peak list (8 most intense, 10° ≤ 2θ ≤ 90°, low angle first)
hkl  2θ/deg  I_rel
1 1 2  27.43  100
2 1 1  35.46  11
2 2 0  43.93  25
2 0 4  46.36  44
3 1 2  52.57  28
1 1 6  56.79  12
3 1 6  74.46  9
4 2 4  82.50  12

Atomic structure:
```
data_Cu2AgPSe4
_chemical_formula_sum 'Cu4 Ag2 P2 Se8'
_cell_length_a 5.8294
_cell_length_b 5.8294
_cell_length_c 10.5788
_cell_angle_alpha 90.00
_cell_angle_beta 90.00
_cell_angle_gamma 90.00
_space_group_name_H-M_alt 'I -4 2 m'
_space_group_IT_number 121
_space_group_name_Hall 'I -4 2'
loop_
_atom_site_label
_atom_site_type_symbol
_atom_site_fract_x
_atom_site_fract_y
_atom_site_fract_z
Cu1 Cu 0.0000 0.5000 0.2500
Ag1 Ag 0.0000 0.0000 0.0000
P1 P 0.0000 0.0000 0.5000
Se1 Se 0.2227 0.2227 0.6310
```


[3]
LuScCo4: computed powder diffractogram (CuKα), based on a structure optimized by DFT (PBE).
Kinematic intensities with the Lorentz-polarization factor, no thermal factor.

Peak list (8 most intense, 10° ≤ 2θ ≤ 90°, low angle first)
hkl  2θ/deg  I_rel
1 1 1  22.04  19
2 0 0  25.50  19
2 2 0  36.37  44
3 1 1  42.94  100
2 2 2  44.95  26
4 2 2  65.45  16
5 1 1  69.97  30
4 4 0  77.25  21

Atomic structure:
```
data_LuScCo4
_chemical_formula_sum 'Lu4 Sc4 Co16'
_cell_length_a 6.9863
_cell_length_b 6.9863
_cell_length_c 6.9863
_cell_angle_alpha 90.00
_cell_angle_beta 90.00
_cell_angle_gamma 90.00
_space_group_name_H-M_alt 'F -4 3 m'
_space_group_IT_number 216
_space_group_name_Hall 'F -4 2 3'
loop_
_atom_site_label
_atom_site_type_symbol
_atom_site_fract_x
_atom_site_fract_y
_atom_site_fract_z
Lu1 Lu 0.0000 0.0000 0.0000
Sc1 Sc 0.2500 0.2500 0.7500
Co1 Co 0.1248 0.1248 0.3752
```


[4]
SmDy7In2: computed powder diffractogram (CuKα), based on a structure optimized by DFT (PBE).
Kinematic intensities with the Lorentz-polarization factor, no thermal factor.

Peak list (8 most intense, 10° ≤ 2θ ≤ 90°, low angle first)
hkl  2θ/deg  I_rel
0 0 1  16.10  63
2 0 1  25.36  32
0 4 1  28.43  75
2 4 0  30.51  95
0 0 2  32.53  81
3 1 1  34.19  94
1 5 1  34.98  100
2 4 2  45.20  68

Atomic structure:
```
data_SmDy7In2
_chemical_formula_sum 'Sm2 Dy14 In4'
_cell_length_a 9.1231
_cell_length_b 15.2886
_cell_length_c 5.5052
_cell_angle_alpha 90.00
_cell_angle_beta 90.00
_cell_angle_gamma 90.00
_space_group_name_H-M_alt 'C m m m'
_space_group_IT_number 65
_space_group_name_Hall '-C 2 2'
loop_
_atom_site_label
_atom_site_type_symbol
_atom_site_fract_x
_atom_site_fract_y
_atom_site_fract_z
Sm1 Sm 0.0000 0.0000 0.0000
Dy1 Dy 0.0000 0.2319 0.0000
Dy2 Dy 0.0000 0.5000 0.5000
Dy3 Dy 0.1805 0.1220 0.5000
In1 In 0.0000 0.3030 0.5000
```


[5]
SmAg6: computed powder diffractogram (CuKα), based on a structure optimized by DFT (PBE).
Kinematic intensities with the Lorentz-polarization factor, no thermal factor.

Peak list (8 most intense, 10° ≤ 2θ ≤ 90°, low angle first)
hkl  2θ/deg  I_rel
0 2 0  31.38  21
1 0 4  33.36  39
3 1 1  34.95  100
0 2 2  35.28  17
2 2 0  37.43  18
2 2 1  38.31  27
1 2 3  41.04  58
4 0 1  41.28  39

Atomic structure:
```
data_SmAg6
_chemical_formula_sum 'Sm4 Ag24'
_cell_length_a 8.9242
_cell_length_b 5.7017
_cell_length_c 11.2663
_cell_angle_alpha 90.00
_cell_angle_beta 90.00
_cell_angle_gamma 90.00
_space_group_name_H-M_alt 'P n m a'
_space_group_IT_number 62
loop_
_space_group_symop_operation_xyz
'x,y,z'
'-x,-y,-z'
'-x+1/2,-y,z+1/2'
'x+1/2,y,-z+1/2'
'x+1/2,-y+1/2,-z+1/2'
'-x+1/2,y+1/2,z+1/2'
'-x,y+1/2,-z'
'x,-y+1/2,z'
loop_
_atom_site_label
_atom_site_type_symbol
_atom_site_fract_x
_atom_site_fract_y
_atom_site_fract_z
Sm1 Sm 0.2427 0.2500 0.0684
Ag1 Ag 0.0618 0.0089 0.3081
Ag2 Ag 0.0654 0.7500 0.0853
Ag3 Ag 0.1059 0.2500 0.5201
Ag4 Ag 0.1465 0.7500 0.8493
Ag5 Ag 0.1856 0.2500 0.7650
```


[6]
K12Rb16Mg: computed powder diffractogram (CuKα), based on a structure optimized by DFT (PBE).
Kinematic intensities with the Lorentz-polarization factor, no thermal factor.

Peak list (8 most intense, 10° ≤ 2θ ≤ 90°, low angle first)
hkl  2θ/deg  I_rel
0 0 3  22.12  29
4 0 -1  22.33  55
3 3 0  22.45  97
4 0 -3  22.56  70
3 3 -3  22.68  45
1 5 -2  22.85  100
3 5 -1  25.28  28
1 5 -5  39.31  32

Atomic structure:
```
data_K12Rb16Mg
_chemical_formula_sum 'K24 Rb32 Mg2'
_cell_length_a 16.7742
_cell_length_b 23.0739
_cell_length_c 14.5831
_cell_angle_alpha 90.00
_cell_angle_beta 124.23
_cell_angle_gamma 90.00
_space_group_name_H-M_alt 'C 1 m 1'
_space_group_IT_number 8
loop_
_space_group_symop_operation_xyz
'x,y,z'
'x,-y,z'
'x+1/2,y+1/2,z'
'x+1/2,-y+1/2,z'
loop_
_atom_site_label
_atom_site_type_symbol
_atom_site_fract_x
_atom_site_fract_y
_atom_site_fract_z
K1 K 0.0000 0.0000 0.0000
K2 K 0.0399 0.3095 0.3533
K3 K 0.0788 0.0909 0.7878
K4 K 0.1177 0.4070 0.1535
K5 K 0.1715 0.0000 0.3782
K6 K 0.3460 0.1960 0.9912
K7 K 0.4501 0.0957 0.5321
Rb1 Rb 0.0496 0.2968 0.8472
Rb2 Rb 0.1635 0.5000 0.8769
Rb3 Rb 0.1693 0.1805 0.1728
Rb4 Rb 0.1951 0.1559 0.5816
Rb5 Rb 0.2473 0.5000 0.5088
Rb6 Rb 0.2914 0.3485 0.7640
Rb7 Rb 0.3510 0.0000 0.8115
Rb8 Rb 0.3553 0.0000 0.1722
Rb9 Rb 0.3734 0.3081 0.4821
Rb10 Rb 0.4018 0.3855 0.1996
Mg1 Mg 0.0039 0.0000 0.5017
```


[7]
EuCdF2: computed powder diffractogram (CuKα), based on a structure optimized by DFT (PBE).
Kinematic intensities with the Lorentz-polarization factor, no thermal factor.

Peak list (8 most intense, 10° ≤ 2θ ≤ 90°, low angle first)
hkl  2θ/deg  I_rel
0 1 2  26.33  100
0 0 6  28.72  26
1 0 4  31.21  46
1 1 0  43.12  34
0 1 8  46.28  27
2 0 2  51.23  16
1 1 6  52.64  28
1 0 10  55.38  13

Atomic structure:
```
data_EuCdF2
_chemical_formula_sum 'Eu3 Cd3 F6'
_cell_length_a 4.1954
_cell_length_b 4.1954
_cell_length_c 18.6476
_cell_angle_alpha 90.00
_cell_angle_beta 90.00
_cell_angle_gamma 120.00
_space_group_name_H-M_alt 'R -3 m'
_space_group_IT_number 166
_space_group_name_Hall '-R 3 2"'
loop_
_atom_site_label
_atom_site_type_symbol
_atom_site_fract_x
_atom_site_fract_y
_atom_site_fract_z
Eu1 Eu 0.0000 0.0000 0.0000
Cd1 Cd 0.0000 0.0000 0.5000
F1 F 0.0000 0.0000 0.1224
```


[8]
Li2In4Cu: computed powder diffractogram (CuKα), based on a structure optimized by DFT (PBE).
Kinematic intensities with the Lorentz-polarization factor, no thermal factor.

Peak list (8 most intense, 10° ≤ 2θ ≤ 90°, low angle first)
hkl  2θ/deg  I_rel
0 2 0  20.72  100
0 0 4  28.23  87
2 0 0  29.53  42
0 2 4  35.27  58
2 2 0  36.35  95
2 0 4  41.31  37
2 2 4  46.65  85
0 4 4  51.51  31

Atomic structure:
```
data_Li2In4Cu
_chemical_formula_sum 'Li8 In16 Cu4'
_cell_length_a 6.0495
_cell_length_b 8.5740
_cell_length_c 12.6454
_cell_angle_alpha 90.00
_cell_angle_beta 90.00
_cell_angle_gamma 90.00
_space_group_name_H-M_alt 'F m m m'
_space_group_IT_number 69
_space_group_name_Hall '-F 2 2'
loop_
_atom_site_label
_atom_site_type_symbol
_atom_site_fract_x
_atom_site_fract_y
_atom_site_fract_z
Li1 Li 0.0000 0.0000 0.1186
In1 In 0.2500 0.2500 0.0000
In2 In 0.2500 0.2500 0.2500
Cu1 Cu 0.0000 0.0000 0.5000
```


[9]
LaMg5Tl7: computed powder diffractogram (CuKα), based on a structure optimized by DFT (PBE).
Kinematic intensities with the Lorentz-polarization factor, no thermal factor.

Peak list (8 most intense, 10° ≤ 2θ ≤ 90°, low angle first)
hkl  2θ/deg  I_rel
0 2 2  24.21  40
2 0 0  28.14  89
1 3 0  28.94  92
1 0 3  29.80  37
1 3 2  33.95  100
1 2 3  34.37  50
2 2 2  37.46  49
1 1 4  38.98  36

Atomic structure:
```
data_LaMg5Tl7
_chemical_formula_sum 'La2 Mg10 Tl14'
_cell_length_a 6.3411
_cell_length_b 10.5958
_cell_length_c 10.2074
_cell_angle_alpha 90.00
_cell_angle_beta 90.00
_cell_angle_gamma 90.00
_space_group_name_H-M_alt 'I m m 2'
_space_group_IT_number 44
loop_
_space_group_symop_operation_xyz
'x,y,z'
'-x,-y,z'
'-x,y,z'
'x,-y,z'
'x+1/2,y+1/2,z+1/2'
'-x+1/2,-y+1/2,z+1/2'
'-x+1/2,y+1/2,z+1/2'
'x+1/2,-y+1/2,z+1/2'
loop_
_atom_site_label
_atom_site_type_symbol
_atom_site_fract_x
_atom_site_fract_y
_atom_site_fract_z
La1 La 0.0000 0.0000 0.0000
Mg1 Mg 0.0000 0.5000 0.7434
Mg2 Mg 0.2465 0.2539 0.2554
Tl1 Tl 0.0000 0.0000 0.3383
Tl2 Tl 0.0000 0.0000 0.6488
Tl3 Tl 0.0000 0.3156 0.5145
Tl4 Tl 0.0000 0.3383 0.9972
Tl5 Tl 0.0000 0.5000 0.2743
```


[10]
LuBiO2: computed powder diffractogram (CuKα), based on a structure optimized by DFT (PBE).
Kinematic intensities with the Lorentz-polarization factor, no thermal factor.

Peak list (8 most intense, 10° ≤ 2θ ≤ 90°, low angle first)
hkl  2θ/deg  I_rel
0 0 6  25.68  50
0 1 2  31.32  100
1 0 4  34.78  62
0 1 8  46.40  39
1 1 0  53.44  26
1 0 10  53.78  24
1 1 6  60.20  30
2 0 2  63.26  14

Atomic structure:
```
data_LuBiO2
_chemical_formula_sum 'Lu3 Bi3 O6'
_cell_length_a 3.4293
_cell_length_b 3.4293
_cell_length_c 20.8125
_cell_angle_alpha 90.00
_cell_angle_beta 90.00
_cell_angle_gamma 120.00
_space_group_name_H-M_alt 'R -3 m'
_space_group_IT_number 166
_space_group_name_Hall '-R 3 2"'
loop_
_atom_site_label
_atom_site_type_symbol
_atom_site_fract_x
_atom_site_fract_y
_atom_site_fract_z
Lu1 Lu 0.0000 0.0000 0.0000
Bi1 Bi 0.0000 0.0000 0.5000
O1 O 0.0000 0.0000 0.3841
```


[11]
Dy2Tm5In4: computed powder diffractogram (CuKα), based on a structure optimized by DFT (PBE).
Kinematic intensities with the Lorentz-polarization factor, no thermal factor.

Peak list (8 most intense, 10° ≤ 2θ ≤ 90°, low angle first)
hkl  2θ/deg  I_rel
0 0 2  13.53  25
1 2 1  25.33  40
1 3 0  31.20  48
1 1 4  33.59  59
1 3 2  34.15  100
2 0 0  34.83  58
1 0 5  38.59  29
3 3 2  62.01  26

Atomic structure:
```
data_Dy2Tm5In4
_chemical_formula_sum 'Dy4 Tm10 In8'
_cell_length_a 5.1516
_cell_length_b 10.3502
_cell_length_c 13.0842
_cell_angle_alpha 90.00
_cell_angle_beta 90.00
_cell_angle_gamma 90.00
_space_group_name_H-M_alt 'I m m m'
_space_group_IT_number 71
_space_group_name_Hall '-I 2 2'
loop_
_atom_site_label
_atom_site_type_symbol
_atom_site_fract_x
_atom_site_fract_y
_atom_site_fract_z
Dy1 Dy 0.0000 0.0000 0.1672
Tm1 Tm 0.0000 0.3434 0.2240
Tm2 Tm 0.0000 0.5000 0.5000
In1 In 0.0000 0.0000 0.3919
In2 In 0.0000 0.2164 0.0000
```


[12]
La2Nd3Y6: computed powder diffractogram (CuKα), based on a structure optimized by DFT (PBE).
Kinematic intensities with the Lorentz-polarization factor, no thermal factor.

Peak list (8 most intense, 10° ≤ 2θ ≤ 90°, low angle first)
hkl  2θ/deg  I_rel
2 0 -2  30.41  97
1 3 1  30.59  100
0 0 4  31.37  88
2 0 2  32.47  83
1 3 -2  32.81  60
1 3 2  33.78  47
1 3 -3  37.15  54
2 0 6  57.79  29

Atomic structure:
```
data_La2Nd3Y6
_chemical_formula_sum 'La4 Nd6 Y12'
_cell_length_a 6.5801
_cell_length_b 10.3389
_cell_length_c 11.4357
_cell_angle_alpha 90.00
_cell_angle_beta 94.23
_cell_angle_gamma 90.00
_space_group_name_H-M_alt 'C 1 2/m 1'
_space_group_IT_number 12
loop_
_space_group_symop_operation_xyz
'x,y,z'
'-x,-y,-z'
'-x,y,-z'
'x,-y,z'
'x+1/2,y+1/2,z'
'-x+1/2,-y+1/2,-z'
'-x+1/2,y+1/2,-z'
'x+1/2,-y+1/2,z'
loop_
_atom_site_label
_atom_site_type_symbol
_atom_site_fract_x
_atom_site_fract_y
_atom_site_fract_z
La1 La 0.0000 0.2300 0.0000
Nd1 Nd 0.0000 0.1615 0.5000
Nd2 Nd 0.0000 0.5000 0.5000
Y1 Y 0.2159 0.3325 0.7455
Y2 Y 0.2352 0.0000 0.7843
```